Record 1
The following is a calculated PXRD pattern of PmGeS2. It was derived from DFT lattice parameters and positions (GGA-PBE), using Cu Kα, 1.54184 Å.
Intensities are scaled so that the largest is 100.

Structure:
a = 4.1474 Å, b = 4.1474 Å, c = 20.8037 Å
α = 90.00°, β = 90.00°, γ = 120.00°
Space group P3_221 (No. 154)
Inequivalent atoms, fractional coordinates:
Pm 0.0000 0.3153 0.3333
Ge 0.0000 0.9844 0.8333
S 0.0239 0.3620 0.9273

Peak list (6 most intense, 2θ = 5–70°, in order of falling intensity)
| (hkl) | 2θ (°) | d_spacing | intensity |
| --- | --- | --- | --- |
| 1 0 2 | 26.2 | 3.395 | 100 |
| 1 0 5 | 32.9 | 2.719 | 91 |
| 1 1 3 | 45.7 | 1.987 | 66 |
| 0 0 3 | 12.8 | 6.935 | 46 |
| 0 1 7 | 39.3 | 2.290 | 42 |
| 0 1 1 | 25.2 | 3.539 | 35 |


Record 2
The following is a calculated PXRD pattern of LiNpFe4. It was derived from DFT lattice parameters and positions (GGA-PBE), using Cu Kα, 1.54184 Å.
Intensities are scaled so that the largest is 100.

Structure:
a = 6.922 Å, b = 6.922 Å, c = 6.922 Å
α = 90.00°, β = 90.00°, γ = 90.00°
Space group F-43m (No. 216)
Inequivalent atoms, fractional coordinates:
Li 0.000 0.000 0.000
Np 0.250 0.250 0.750
Fe 0.126 0.126 0.374

Peak list (6 most intense, 2θ = 5–70°, in order of falling intensity)
| (hkl) | 2θ (°) | d_spacing | intensity |
| --- | --- | --- | --- |
| 3 1 1 | 43.4 | 2.087 | 100 |
| 2 0 0 | 25.7 | 3.461 | 48 |
| 1 1 1 | 22.2 | 3.996 | 47 |
| 2 2 0 | 36.7 | 2.447 | 42 |
| 2 2 2 | 45.4 | 1.998 | 29 |
| 4 2 0 | 59.7 | 1.548 | 19 |